1.
For SmDy5Er12, a DFT-relaxed cell (PBE, Alexandria) gives the calculated powder diffraction line list in this record (Cu Kα (weighted mean of Kα1 and Kα2)).

Atomic structure:
Unit cell a=11.0442 b=17.2144 c=5.9124 alpha=90.00 beta=90.01 gamma=90.00
Space group C2/m (No. 12)
Asymmetric unit:
Sm (0.0000, 0.0000, 0.0000) [2 per cell]
Dy (0.0000, 0.1671, 0.5000) [4 per cell]
Dy (0.0000, 0.3326, 0.0000) [4 per cell]
Dy (0.0000, 0.5000, 0.5000) [2 per cell]
Er (0.1722, 0.5000, 0.0455) [4 per cell]
Er (0.1739, 0.3332, 0.4515) [8 per cell]
Er (0.1747, 0.0000, 0.4543) [4 per cell]
Er (0.1750, 0.1672, 0.0487) [8 per cell]

Peak list (8 most intense, 2θ from 10° to 90°, by angle)
- 2θ = 30.23°, rel. 26
- 2θ = 31.17°, rel. 30
- 2θ = 32.63°, rel. 100
- 2θ = 35.10°, rel. 10
- 2θ = 43.98°, rel. 18
- 2θ = 55.24°, rel. 13
- 2θ = 56.40°, rel. 21
- 2θ = 68.36°, rel. 10


2.
For Pr2Si12Pt7, a DFT-relaxed cell (PBE, Alexandria) gives the calculated powder diffraction line list in this record (Cu Kα (weighted mean of Kα1 and Kα2)).

Atomic structure:
Unit cell a=10.0222 b=10.0222 c=4.0606 alpha=90.00 beta=90.00 gamma=120.00
Space group P-3 (No. 147)
Asymmetric unit:
Pr (0.3333, 0.6667, 0.2304) [2 per cell]
Si (0.0670, 0.4377, 0.7653) [6 per cell]
Si (0.1240, 0.2640, 0.2283) [6 per cell]
Pt (0.0000, 0.0000, 0.0000) [1 per cell]
Pt (0.0999, 0.6997, 0.7149) [6 per cell]

Peak list (8 most intense, 2θ from 10° to 90°, by angle)
- 2θ = 27.18°, rel. 100
- 2θ = 28.29°, rel. 91
- 2θ = 30.14°, rel. 73
- 2θ = 30.91°, rel. 44
- 2θ = 35.17°, rel. 93
- 2θ = 43.71°, rel. 31
- 2θ = 48.04°, rel. 44
- 2θ = 51.09°, rel. 58


3.
For Pm5Nd4Y, a DFT-relaxed cell (PBE, Alexandria) gives the calculated powder diffraction line list in this record (Cu Kα (weighted mean of Kα1 and Kα2)).

Atomic structure:
Unit cell a=26.1307 b=3.6593 c=7.3077 alpha=90.00 beta=98.13 gamma=90.00
Space group C2/m (No. 12)
Asymmetric unit:
Pm (0.0000, 0.0000, 0.0000) [2 per cell]
Pm (0.0992, 0.5000, 0.2997) [4 per cell]
Pm (0.1998, 0.0000, 0.1004) [4 per cell]
Nd (0.0993, 0.5000, 0.7999) [4 per cell]
Nd (0.1995, 0.0000, 0.5994) [4 per cell]
Y (0.0000, 0.0000, 0.5000) [2 per cell]

Peak list (8 most intense, 2θ from 10° to 90°, by angle)
- 2θ = 29.92°, rel. 100
- 2θ = 34.69°, rel. 51
- 2θ = 49.87°, rel. 36
- 2θ = 59.24°, rel. 36
- 2θ = 59.32°, rel. 7
- 2θ = 62.15°, rel. 9
- 2θ = 81.00°, rel. 12
- 2θ = 83.61°, rel. 11


4.
For La12Fe2I17, a DFT-relaxed cell (PBE, Alexandria) gives the calculated powder diffraction line list in this record (Cu Kα (weighted mean of Kα1 and Kα2)).

Atomic structure:
Unit cell a=9.9468 b=12.1086 c=12.2192 alpha=73.18 beta=74.45 gamma=67.04
Space group P-1 (No. 2)
Asymmetric unit:
La (0.0510, 0.0192, 0.1715) [2 per cell]
La (0.0651, 0.1752, 0.4988) [2 per cell]
La (0.0775, 0.2614, 0.7682) [2 per cell]
La (0.2056, 0.4991, 0.4164) [2 per cell]
La (0.3327, 0.6865, 0.0770) [2 per cell]
La (0.3416, 0.7817, 0.3477) [2 per cell]
Fe (0.1377, 0.7659, 0.2873) [2 per cell]
I (0.0392, 0.5565, 0.6804) [2 per cell]
I (0.0724, 0.6786, 0.9718) [2 per cell]
I (0.1852, 0.8694, 0.6042) [2 per cell]
I (0.2452, 0.9744, 0.9106) [2 per cell]
I (0.2897, 0.0793, 0.2528) [2 per cell]
I (0.3601, 0.1954, 0.5491) [2 per cell]
I (0.3865, 0.2813, 0.8699) [2 per cell]
I (0.4411, 0.3958, 0.1828) [2 per cell]
I (0.5000, 0.5000, 0.5000) [1 per cell]

Peak list (8 most intense, 2θ from 10° to 90°, by angle)
- 2θ = 27.22°, rel. 100
- 2θ = 27.60°, rel. 97
- 2θ = 28.15°, rel. 73
- 2θ = 38.71°, rel. 35
- 2θ = 38.96°, rel. 27
- 2θ = 39.59°, rel. 35
- 2θ = 40.16°, rel. 27
- 2θ = 40.56°, rel. 27


5.
For Nd4PaP6, a DFT-relaxed cell (PBE, Alexandria) gives the calculated powder diffraction line list in this record (Cu Kα (weighted mean of Kα1 and Kα2)).

Atomic structure:
Unit cell a=11.3244 b=11.3244 c=14.5082 alpha=90.00 beta=90.00 gamma=120.00
Space group R-3c (No. 167, hexagonal axes)
Asymmetric unit:
Nd (0.0000, 0.0000, 0.2500) [6 per cell]
Nd (0.0000, 0.3747, 0.2500) [18 per cell]
Pa (0.0000, 0.0000, 0.0000) [6 per cell]
P (0.0211, 0.2034, 0.3901) [36 per cell]

Peak list (8 most intense, 2θ from 10° to 90°, by angle)
- 2θ = 15.19°, rel. 21
- 2θ = 15.65°, rel. 21
- 2θ = 24.20°, rel. 48
- 2θ = 27.28°, rel. 100
- 2θ = 30.66°, rel. 47
- 2θ = 34.60°, rel. 49
- 2θ = 36.79°, rel. 34
- 2θ = 47.56°, rel. 36


6.
For U4AsSe3, a DFT-relaxed cell (PBE, Alexandria) gives the calculated powder diffraction line list in this record (Cu Kα (weighted mean of Kα1 and Kα2)).

Atomic structure:
Unit cell a=4.0658 b=4.0658 c=11.5005 alpha=90.00 beta=90.00 gamma=90.00
Space group P4/mmm (No. 123)
Asymmetric unit:
U (0.0000, 0.0000, 0.0000) [1 per cell]
U (0.0000, 0.0000, 0.5000) [1 per cell]
U (0.5000, 0.5000, 0.2494) [2 per cell]
As (0.5000, 0.5000, 0.0000) [1 per cell]
Se (0.0000, 0.0000, 0.2501) [2 per cell]
Se (0.5000, 0.5000, 0.5000) [1 per cell]

Peak list (8 most intense, 2θ from 10° to 90°, by angle)
- 2θ = 26.86°, rel. 44
- 2θ = 31.11°, rel. 100
- 2θ = 44.57°, rel. 75
- 2θ = 52.80°, rel. 23
- 2θ = 55.35°, rel. 27
- 2θ = 64.86°, rel. 13
- 2θ = 73.68°, rel. 36
- 2θ = 82.11°, rel. 27


7.
For PuBeNi11, a DFT-relaxed cell (PBE, Alexandria) gives the calculated powder diffraction line list in this record (Cu Kα (weighted mean of Kα1 and Kα2)).

Atomic structure:
Unit cell a=4.6101 b=11.5367 c=6.1398 alpha=90.00 beta=110.07 gamma=90.00
Space group C2/m (No. 12)
Asymmetric unit:
Pu (0.0000, 0.0000, 0.0000) [2 per cell]
Be (0.0000, 0.5000, 0.5000) [2 per cell]
Ni (0.0000, 0.0000, 0.5000) [2 per cell]
Ni (0.1008, 0.3918, 0.2277) [8 per cell]
Ni (0.1677, 0.1761, 0.3554) [8 per cell]
Ni (0.2500, 0.2500, 0.0000) [4 per cell]

Peak list (8 most intense, 2θ from 10° to 90°, by angle)
- 2θ = 15.36°, rel. 27
- 2θ = 31.78°, rel. 29
- 2θ = 34.78°, rel. 29
- 2θ = 38.87°, rel. 40
- 2θ = 44.00°, rel. 41
- 2θ = 44.45°, rel. 100
- 2θ = 44.72°, rel. 56
- 2θ = 45.70°, rel. 34